For ZrPCNO3F3, a PBE-relaxed structure gives the calculated powder diffractogram in this record (copper Kα).
Kinematic intensities with the Lorentz-polarization factor, no thermal factor.

The 12 most intense peaks (10° ≤ 2θ ≤ 80°), low angle first:
14.08°, intensity 100; 16.94°, intensity 30; 21.27°, intensity 28; 21.46°, intensity 39; 21.70°, intensity 10; 22.48°, intensity 24; 22.88°, intensity 10; 26.11°, intensity 20; 26.39°, intensity 47; 29.09°, intensity 13; 36.37°, intensity 16; 38.02°, intensity 10

Structural model:
```
data_ZrPCNO3F3
_cell_length_a 5.3408
_cell_length_b 6.3098
_cell_length_c 10.7147
_cell_angle_alpha 93.86
_cell_angle_beta 101.48
_cell_angle_gamma 91.24
_symmetry_space_group_name_H-M 'P -1'
_symmetry_Int_Tables_number 2
_symmetry_space_group_name_Hall '-P 1'
loop_
_atom_site_label
_atom_site_type_symbol
_atom_site_fract_x
_atom_site_fract_y
_atom_site_fract_z
_atom_site_occupancy
Zr1 Zr 0.0000 0.0000 0.0000 1
Zr2 Zr 0.0000 0.0000 0.5000 1
P1 P 0.4072 0.8300 0.2916 1
C1 C 0.4790 0.5659 0.2513 1
N1 N 0.4708 0.6097 0.7714 1
O1 O 0.2195 0.8209 0.3825 1
O2 O 0.2762 0.9277 0.1708 1
O3 O 0.3418 0.0574 0.6424 1
F1 F 0.0534 0.7139 0.9176 1
F2 F 0.0879 0.2607 0.4249 1
F3 F 0.2651 0.1343 0.9174 1
```